Record 1
Theoretical powder XRD pattern
Compound: RbMoPClO5
Radiation: CuKα
Structure: DFT lattice parameters and positions (PBE+U)

Cell lengths 6.5735, 6.5735, 7.6438 Å; angles 90.00, 90.00, 90.00 degrees
Space group P4/nmm (No. 129, origin choice 2)
Symmetry-distinct sites (fractional):
Rb1 0.2500 0.7500 0.0000 [2 per cell]
Mo1 0.2500 0.2500 0.4102 [2 per cell]
P1 0.2500 0.7500 0.5000 [2 per cell]
Cl1 0.2500 0.2500 0.0687 [2 per cell]
O1 0.0630 0.7500 0.6236 [8 per cell]
O2 0.2500 0.2500 0.6330 [2 per cell]

The 10 most intense peaks (2θ = 5–70°), by angle:
d_spacing, Position (°2θ), Rel. int.
7.644, 11.58, 173
4.984, 17.80, 355
3.971, 22.39, 366
3.822, 23.27, 317
3.287, 27.13, 1000
2.492, 36.04, 383
2.376, 37.87, 189
2.324, 38.75, 232
2.006, 45.20, 208
1.986, 45.69, 187

=====

Record 2
Theoretical powder XRD pattern
Compound: Mo2Pb2Cl2O5
Radiation: CuKα
Structure: DFT lattice parameters and positions (PBE+U)

Cell lengths 4.1280, 4.1280, 24.4497 Å; angles 90.00, 90.00, 90.00 degrees
Space group I4/mmm (No. 139)
Symmetry-distinct sites (fractional):
Mo1 0.0000 0.0000 0.0767 [4 per cell]
Pb1 0.0000 0.0000 0.3471 [4 per cell]
Cl1 0.0000 0.0000 0.1922 [4 per cell]
O1 0.0000 0.0000 0.0000 [2 per cell]
O2 0.0000 0.5000 0.0931 [8 per cell]

The 10 most intense peaks (2θ = 5–70°), by angle:
d_spacing, Position (°2θ), Rel. int.
6.112, 14.49, 888
3.683, 24.17, 913
2.919, 30.63, 733
2.666, 33.61, 1000
2.634, 34.04, 270
2.373, 37.92, 171
2.064, 43.86, 395
1.956, 46.42, 333
1.800, 50.70, 266
1.632, 56.37, 456

=====

Record 3
Theoretical powder XRD pattern
Compound: PmMoClO4
Radiation: CuKα
Structure: DFT lattice parameters and positions (PBE+U)

Cell lengths 10.5020, 7.5080, 7.0381 Å; angles 90.00, 106.79, 90.00 degrees
Space group C2/m (No. 12)
Symmetry-distinct sites (fractional):
Pm1 0.2225 0.0000 0.1140 [4 per cell]
Mo1 0.1384 0.5000 0.2685 [4 per cell]
Cl1 0.0111 0.0000 0.7661 [4 per cell]
O1 0.0382 0.5000 0.7922 [4 per cell]
O2 0.1973 0.3139 0.1514 [8 per cell]
O3 0.2079 0.5000 0.5297 [4 per cell]

The 10 most intense peaks (2θ = 5–70°), by angle:
d_spacing, Position (°2θ), Rel. int.
6.738, 13.14, 555
5.027, 17.64, 485
3.754, 23.70, 1000
3.566, 24.97, 526
3.183, 28.03, 516
3.113, 28.68, 549
2.638, 33.98, 393
2.585, 34.70, 258
2.021, 44.84, 484
1.871, 48.65, 273

=====

Record 4
Theoretical powder XRD pattern
Compound: Mo3Se2ClO8
Radiation: CuKα
Structure: DFT lattice parameters and positions (PBE+U)

Cell lengths 7.0750, 7.3215, 10.9454 Å; angles 82.40, 86.95, 89.74 degrees
Space group P-1 (No. 2)
Symmetry-distinct sites (fractional):
Mo1 0.0000 0.0000 0.0000 [1 per cell]
Mo2 0.0000 0.0000 0.5000 [1 per cell]
Mo3 0.2395 0.1895 0.2330 [2 per cell]
Mo4 0.5000 0.0000 0.0000 [1 per cell]
Mo5 0.5000 0.0000 0.5000 [1 per cell]
Se1 0.2542 0.4083 0.4908 [2 per cell]
Se2 0.2633 0.3854 0.9286 [2 per cell]
Cl1 0.1065 0.8673 0.7160 [2 per cell]
O1 0.0396 0.2840 0.9587 [2 per cell]
O2 0.0550 0.2747 0.5348 [2 per cell]
O3 0.2425 0.9987 0.0970 [2 per cell]
O4 0.2675 0.0159 0.3997 [2 per cell]
O5 0.2783 0.4099 0.3316 [2 per cell]
O6 0.3379 0.3800 0.0771 [2 per cell]
O7 0.3907 0.2037 0.8752 [2 per cell]
O8 0.4410 0.2656 0.5412 [2 per cell]

The 10 most intense peaks (2θ = 5–70°), by angle:
d_spacing, Position (°2θ), Rel. int.
7.257, 12.20, 429
5.417, 16.36, 779
5.064, 17.51, 1000
3.175, 28.10, 502
2.893, 30.91, 227
2.846, 31.43, 256
2.730, 32.81, 227
2.709, 33.07, 239
2.619, 34.24, 266
2.326, 38.71, 337